Structure and simulated powder diffractogram of KAu3I6 (a crystal structure in Alexandria, relaxed with PBE; Cu Kα (λ = 1.5418 Å)).
Kinematic intensities with the Lorentz-polarization factor, no thermal factor.

Principal peaks in the range 2θ = 10–90°, by angle:
d_spacing	2θ/deg	I/Imax
8.822	10.0	64
5.415	16.4	44
4.545	19.5	64
4.501	19.7	57
4.356	20.4	100
2.941	30.4	55
2.707	33.1	62
2.617	34.3	51
2.147	42.1	38
1.956	46.4	52

Unit cell a=10.845 b=10.845 c=10.845 alpha=121.15 beta=87.03 gamma=122.30
Fractional positions:
K 0.250 0.250 0.000
K 0.750 0.750 0.000
Au 0.201 0.610 0.812
Au 0.250 0.750 0.500
Au 0.299 0.110 0.409
Au 0.701 0.890 0.591
Au 0.750 0.250 0.500
Au 0.799 0.390 0.188
I 0.103 0.540 0.201
I 0.154 0.984 0.137
I 0.161 0.960 0.563
I 0.339 0.902 0.799
I 0.346 0.484 0.830
I 0.397 0.598 0.437
I 0.603 0.402 0.563
I 0.654 0.516 0.170
I 0.661 0.098 0.201
I 0.839 0.040 0.437
I 0.846 0.016 0.863
I 0.897 0.460 0.799

***

Structure and simulated powder diffractogram of K3Au3I8 (a crystal structure in Alexandria, relaxed with PBE; Cu Kα (λ = 1.5418 Å)).
Kinematic intensities with the Lorentz-polarization factor, no thermal factor.

Principal peaks in the range 2θ = 10–90°, by angle:
d_spacing	2θ/deg	I/Imax
6.049	14.6	100
5.789	15.3	20
5.281	16.8	16
3.920	22.7	19
3.706	24.0	22
3.333	26.7	19
3.024	29.5	71
2.990	29.9	51
2.133	42.4	15
1.906	47.7	19

Unit cell a=7.715 b=7.715 c=21.290 alpha=94.04 beta=94.04 gamma=67.62
Fractional positions:
K 0.022 0.978 0.750
K 0.248 0.365 0.403
K 0.365 0.248 0.903
K 0.635 0.752 0.097
K 0.752 0.635 0.597
K 0.978 0.022 0.250
Au 0.000 0.000 0.000
Au 0.000 0.000 0.500
Au 0.367 0.446 0.198
Au 0.446 0.367 0.698
Au 0.554 0.633 0.302
Au 0.633 0.554 0.802
I 0.050 0.537 0.254
I 0.126 0.742 0.090
I 0.168 0.224 0.552
I 0.224 0.168 0.052
I 0.258 0.874 0.410
I 0.297 0.665 0.631
I 0.335 0.703 0.869
I 0.463 0.950 0.246
I 0.537 0.050 0.754
I 0.665 0.297 0.131
I 0.703 0.335 0.369
I 0.742 0.126 0.590
I 0.776 0.832 0.948
I 0.832 0.776 0.448
I 0.874 0.258 0.910
I 0.950 0.463 0.746

***

Structure and simulated powder diffractogram of KAuI6 (a crystal structure in Alexandria, relaxed with PBE; Cu Kα (λ = 1.5418 Å)).
Kinematic intensities with the Lorentz-polarization factor, no thermal factor.

Principal peaks in the range 2θ = 10–90°, by angle:
d_spacing	2θ/deg	I/Imax
8.721	10.1	28
4.726	18.8	24
4.187	21.2	32
4.077	21.8	100
3.940	22.6	22
3.485	25.6	37
3.025	29.5	49
2.826	31.7	31
2.093	43.2	20
2.039	44.4	21

Unit cell a=5.152 b=9.302 c=9.595 alpha=65.49 beta=83.27 gamma=79.62
Fractional positions:
K 0.000 0.000 0.000
Au 0.000 0.000 0.500
I 0.232 0.251 0.377
I 0.340 0.269 0.674
I 0.417 0.287 0.961
I 0.583 0.713 0.039
I 0.660 0.731 0.326
I 0.768 0.749 0.623

***

Structure and simulated powder diffractogram of KAu4I12 (a crystal structure in Alexandria, relaxed with PBE; Cu Kα (λ = 1.5418 Å)).
Kinematic intensities with the Lorentz-polarization factor, no thermal factor.

Principal peaks in the range 2θ = 10–90°, by angle:
d_spacing	2θ/deg	I/Imax
5.499	16.1	100
3.478	25.6	43
2.939	30.4	40
2.749	32.6	44
2.459	36.5	63
2.245	40.2	33
1.886	48.3	26
1.833	49.7	19
1.784	51.2	26
1.296	73.0	26

Unit cell a=9.525 b=9.525 c=9.525 alpha=109.47 beta=109.47 gamma=109.47
Fractional positions:
K 0.000 0.000 0.000
Au 0.000 0.000 0.500
Au 0.000 0.500 0.000
Au 0.500 0.000 0.000
Au 0.500 0.500 0.500
I 0.102 0.296 0.806
I 0.194 0.491 0.296
I 0.194 0.898 0.704
I 0.296 0.194 0.491
I 0.296 0.806 0.102
I 0.491 0.296 0.194
I 0.509 0.704 0.806
I 0.704 0.194 0.898
I 0.704 0.806 0.509
I 0.806 0.102 0.296
I 0.806 0.509 0.704
I 0.898 0.704 0.194